Entry 1:
Simulated X-ray diffraction stick pattern of La8Pr6Ho for Cu Kα, 1.54184 Å, from a crystal structure in Alexandria, relaxed with GGA-PBE.
Lines closer than 0.1° are merged.

Most intense lines, 2θ from 15° to 90°, by angle:
hkl, d [Å], 2θ/deg, I (rel.)
1 2 2, 3.118, 28.63, 100.0
0 0 6, 3.073, 29.06, 23.5
3 -1 4, 2.690, 33.30, 50.0
3 0 3, 2.639, 33.97, 19.1
2 -1 6, 2.627, 34.13, 13.4
4 1 0, 1.913, 47.53, 20.3
1 2 8, 1.892, 48.09, 17.0
6 -2 2, 1.631, 56.43, 11.0
4 1 6, 1.624, 56.68, 12.8
3 -1 10, 1.611, 57.17, 13.4

Cell and atoms:
```
data_La8Pr6Ho
_chemical_formula_sum 'La24 Pr18 Ho3'
_symmetry_space_group_name_H-M 'R -3'
_symmetry_Int_Tables_number 148
_symmetry_space_group_name_Hall '-R 3'
_cell_length_a 10.1227
_cell_length_b 10.1227
_cell_length_c 18.4384
_cell_angle_alpha 90.00
_cell_angle_beta 90.00
_cell_angle_gamma 120.00
loop_
_atom_site_label
_atom_site_type_symbol
_atom_site_fract_x
_atom_site_fract_y
_atom_site_fract_z
_atom_site_occupancy
La1 La 0.0000 0.0000 0.0857 1
La2 La 0.0551 0.8173 0.6697 1
Pr1 Pr 0.0427 0.7576 0.1745 1
Ho1 Ho 0.0000 0.0000 0.5000 1
```

***

Entry 2:
Simulated X-ray diffraction stick pattern of BaNdPa4N8 for Cu Kα, 1.54184 Å, from a crystal structure in Alexandria, relaxed with GGA-PBE.
Lines closer than 0.1° are merged.

Most intense lines, 2θ from 15° to 90°, by angle:
hkl, d [Å], 2θ/deg, I (rel.)
0 0 3, 5.828, 15.20, 14.6
1 0 4, 3.569, 24.95, 23.7
0 2 1, 3.043, 29.35, 100.0
2 0 2, 2.914, 30.68, 35.5
0 2 7, 1.943, 46.76, 40.6
2 2 0, 1.784, 51.19, 38.6
4 0 1, 1.539, 60.11, 13.8
0 2 10, 1.522, 60.88, 17.8
2 2 9, 1.314, 71.84, 23.9
2 4 1, 1.166, 82.82, 13.2

Cell and atoms:
```
data_BaNdPa4N8
_chemical_formula_sum 'Ba3 Nd3 Pa12 N24'
_symmetry_space_group_name_H-M 'R 3 m'
_symmetry_Int_Tables_number 160
_symmetry_space_group_name_Hall 'R 3 -2"'
_cell_length_a 7.1377
_cell_length_b 7.1377
_cell_length_c 17.4821
_cell_angle_alpha 90.00
_cell_angle_beta 90.00
_cell_angle_gamma 120.00
loop_
_atom_site_label
_atom_site_type_symbol
_atom_site_fract_x
_atom_site_fract_y
_atom_site_fract_z
_atom_site_occupancy
Ba1 Ba 0.0000 0.0000 0.0000 1
Nd1 Nd 0.0000 0.0000 0.6233 1
Pa1 Pa 0.0000 0.0000 0.2426 1
Pa2 Pa 0.1704 0.3408 0.4548 1
N1 N 0.0000 0.0000 0.3808 1
N2 N 0.0000 0.0000 0.8469 1
N3 N 0.0601 0.5301 0.3894 1
N4 N 0.1716 0.3433 0.1964 1
```

***

Entry 3:
Simulated X-ray diffraction stick pattern of Pr2SmTh3 for Cu Kα, 1.54184 Å, from a crystal structure in Alexandria, relaxed with GGA-PBE.
Lines closer than 0.1° are merged.

Most intense lines, 2θ from 15° to 90°, by angle:
hkl, d [Å], 2θ/deg, I (rel.)
3 1 0, 3.309, 26.94, 43.0
3 1 1, 2.978, 30.00, 32.5
0 2 2, 2.939, 30.42, 100.0
0 4 0, 2.880, 31.05, 44.0
3 3 0, 2.568, 34.93, 40.4
3 3 1, 2.404, 37.40, 15.8
3 1 2, 2.377, 37.85, 49.7
3 3 2, 2.053, 44.11, 16.2
0 6 2, 1.673, 54.89, 44.1
6 2 2, 1.489, 62.35, 26.6

Cell and atoms:
```
data_Pr2SmTh3
_chemical_formula_sum 'Pr8 Sm4 Th12'
_symmetry_space_group_name_H-M 'C m c m'
_symmetry_Int_Tables_number 63
_symmetry_space_group_name_Hall '-C 2c 2'
_cell_length_a 10.3647
_cell_length_b 11.5208
_cell_length_c 6.8334
_cell_angle_alpha 90.00
_cell_angle_beta 90.00
_cell_angle_gamma 90.00
loop_
_atom_site_label
_atom_site_type_symbol
_atom_site_fract_x
_atom_site_fract_y
_atom_site_fract_z
_atom_site_occupancy
Pr1 Pr 0.1670 0.2302 0.2500 1
Sm1 Sm 0.0000 0.2707 0.7500 1
Th1 Th 0.0000 0.0000 0.0000 1
Th2 Th 0.1661 0.5000 0.0000 1
```

***

Entry 4:
Simulated X-ray diffraction stick pattern of PrEr4Al4 for Cu Kα, 1.54184 Å, from a crystal structure in Alexandria, relaxed with GGA-PBE.
Lines closer than 0.1° are merged.

Most intense lines, 2θ from 15° to 90°, by angle:
hkl, d [Å], 2θ/deg, I (rel.)
1 2 1, 3.318, 26.87, 100.0
1 3 0, 3.056, 29.22, 50.0
3 0 1, 2.735, 32.74, 22.6
0 0 2, 2.589, 34.65, 29.2
4 0 0, 2.417, 37.21, 14.3
3 2 1, 2.380, 37.80, 65.5
1 3 2, 1.975, 45.95, 29.2
6 1 1, 1.519, 61.01, 17.1
3 2 3, 1.451, 64.19, 13.9
6 1 3, 1.168, 82.58, 13.9

Cell and atoms:
```
data_PrEr4Al4
_chemical_formula_sum 'Pr2 Er8 Al8'
_symmetry_space_group_name_H-M 'I 4/m'
_symmetry_Int_Tables_number 87
_symmetry_space_group_name_Hall '-I 4'
_cell_length_a 9.6637
_cell_length_b 9.6637
_cell_length_c 5.1771
_cell_angle_alpha 90.00
_cell_angle_beta 90.00
_cell_angle_gamma 90.00
loop_
_atom_site_label
_atom_site_type_symbol
_atom_site_fract_x
_atom_site_fract_y
_atom_site_fract_z
_atom_site_occupancy
Pr1 Pr 0.0000 0.0000 0.0000 1
Er1 Er 0.1044 0.3528 0.0000 1
Al1 Al 0.0800 0.1811 0.5000 1
```

***

Entry 5:
Simulated X-ray diffraction stick pattern of Li4Dy5Hg4 for Cu Kα, 1.54184 Å, from a crystal structure in Alexandria, relaxed with GGA-PBE.
Lines closer than 0.1° are merged.

Most intense lines, 2θ from 15° to 90°, by angle:
hkl, d [Å], 2θ/deg, I (rel.)
1 2 1, 3.499, 25.45, 82.0
3 0 1, 2.981, 29.97, 98.7
2 3 1, 2.641, 33.94, 68.5
2 4 0, 2.547, 35.24, 55.2
0 0 2, 2.408, 37.34, 49.4
4 1 1, 2.396, 37.54, 100.0
3 5 0, 1.953, 46.49, 30.3
2 4 2, 1.750, 52.28, 36.3
3 5 2, 1.517, 61.09, 27.1
4 7 1, 1.356, 69.32, 25.4

Cell and atoms:
```
data_Li4Dy5Hg4
_chemical_formula_sum 'Li8 Dy10 Hg8'
_symmetry_space_group_name_H-M 'I 4/m'
_symmetry_Int_Tables_number 87
_symmetry_space_group_name_Hall '-I 4'
_cell_length_a 11.3888
_cell_length_b 11.3888
_cell_length_c 4.8163
_cell_angle_alpha 90.00
_cell_angle_beta 90.00
_cell_angle_gamma 90.00
loop_
_atom_site_label
_atom_site_type_symbol
_atom_site_fract_x
_atom_site_fract_y
_atom_site_fract_z
_atom_site_occupancy
Li1 Li 0.0743 0.6033 0.0000 1
Dy1 Dy 0.0000 0.0000 0.5000 1
Dy2 Dy 0.1240 0.1980 0.0000 1
Hg1 Hg 0.0615 0.7426 0.5000 1
```

***

Entry 6:
Simulated X-ray diffraction stick pattern of MnBeGe for Cu Kα, 1.54184 Å, from a crystal structure in Alexandria, relaxed with GGA-PBE.
Lines closer than 0.1° are merged.

Most intense lines, 2θ from 15° to 90°, by angle:
hkl, d [Å], 2θ/deg, I (rel.)
0 0 2, 3.967, 22.41, 51.5
1 1 1, 3.501, 25.44, 24.6
2 0 0, 2.256, 39.97, 11.7
1 3 1, 2.160, 41.82, 100.0
0 0 4, 1.984, 45.74, 30.4
2 0 2, 1.961, 46.30, 58.5
1 3 3, 1.711, 53.54, 47.0
1 3 5, 1.296, 73.01, 17.9
3 3 1, 1.283, 73.85, 18.0
3 3 3, 1.167, 82.70, 12.7

Cell and atoms:
```
data_MnBeGe
_chemical_formula_sum 'Mn8 Be8 Ge8'
_symmetry_space_group_name_H-M 'F 2 2 2'
_symmetry_Int_Tables_number 22
_symmetry_space_group_name_Hall 'F 2 2'
_cell_length_a 4.5117
_cell_length_b 7.7638
_cell_length_c 7.9347
_cell_angle_alpha 90.00
_cell_angle_beta 90.00
_cell_angle_gamma 90.00
loop_
_atom_site_label
_atom_site_type_symbol
_atom_site_fract_x
_atom_site_fract_y
_atom_site_fract_z
_atom_site_occupancy
Mn1 Mn 0.0000 0.0000 0.0000 1
Mn2 Mn 0.2500 0.2500 0.2500 1
Be1 Be 0.0000 0.1826 0.5000 1
Ge1 Ge 0.2500 0.0853 0.7500 1
```